[1]
Theoretical powder diffractogram of TbTmSc2Se6 for Cu Kα X-rays, from a cell relaxed with PBE.
Kinematic intensities with the Lorentz-polarization factor, no thermal factor.

Peak list (10 most intense, 10 to 80 degrees two-theta, sorted by position)
d/Å, 2theta, I (rel.)
5.091, 17.42, 71
3.718, 23.93, 51
3.052, 29.26, 95
2.879, 31.06, 26
2.545, 35.26, 32
2.336, 38.54, 100
2.057, 44.03, 28
2.016, 44.97, 63
1.526, 60.68, 23
1.217, 78.63, 20

Structural model:
Cell lengths 7.4680, 7.4680, 7.4680 Å; angles 55.75, 55.75, 55.75 degrees
Element x y z (fractional)
Tb  0.0000  0.0000  0.0000
Tm  0.4977  0.4977  0.4977
Sc  0.3050  0.3050  0.3050
Sc  0.8062  0.8062  0.8062
Se  0.0780  0.4256  0.6883
Se  0.1958  0.9181  0.5764
Se  0.4256  0.6883  0.0780
Se  0.5764  0.1958  0.9181
Se  0.6883  0.0780  0.4256
Se  0.9181  0.5764  0.1958

[2]
Theoretical powder diffractogram of Th2BiSb3 for Cu Kα X-rays, from a cell relaxed with PBE.
Kinematic intensities with the Lorentz-polarization factor, no thermal factor.

Peak list (10 most intense, 10 to 80 degrees two-theta, sorted by position)
d/Å, 2theta, I (rel.)
4.016, 22.14, 34
3.065, 29.13, 41
2.985, 29.93, 80
2.602, 34.47, 100
2.527, 35.53, 37
2.232, 40.41, 56
1.804, 50.59, 36
1.673, 54.88, 22
1.578, 58.48, 19
1.349, 69.68, 27

Structural model:
Cell lengths 4.4639, 4.4639, 9.1958 Å; angles 90.00, 90.00, 90.00 degrees
Element x y z (fractional)
Th  0.0000  0.5000  0.2171
Th  0.5000  0.0000  0.7829
Bi  0.0000  0.0000  0.5000
Sb  0.0000  0.5000  0.8618
Sb  0.5000  0.0000  0.1382
Sb  0.5000  0.5000  0.5000

[3]
Theoretical powder diffractogram of PmHoPbSe for Cu Kα X-rays, from a cell relaxed with PBE.
Kinematic intensities with the Lorentz-polarization factor, no thermal factor.

Peak list (10 most intense, 10 to 80 degrees two-theta, sorted by position)
d/Å, 2theta, I (rel.)
3.079, 29.00, 100
3.041, 29.37, 48
2.177, 41.48, 38
2.163, 41.75, 75
1.770, 51.64, 41
1.377, 68.10, 18
1.373, 68.30, 18
1.363, 68.88, 17
1.254, 75.85, 26
1.246, 76.41, 13

Structural model:
Cell lengths 4.3539, 4.3539, 6.0811 Å; angles 90.00, 90.00, 90.00 degrees
Element x y z (fractional)
Pm  0.0000  0.0000  0.0000
Ho  0.5000  0.5000  0.5000
Pb  0.5000  0.5000  0.0000
Se  0.0000  0.0000  0.5000

[4]
Theoretical powder diffractogram of Er3Bi2Te2 for Cu Kα X-rays, from a cell relaxed with PBE.
Kinematic intensities with the Lorentz-polarization factor, no thermal factor.

Peak list (10 most intense, 10 to 80 degrees two-theta, sorted by position)
d/Å, 2theta, I (rel.)
3.928, 22.64, 27
3.360, 26.53, 56
3.279, 27.20, 100
2.760, 32.44, 43
2.612, 34.33, 43
2.594, 34.58, 22
2.538, 35.37, 87
2.193, 41.17, 76
2.056, 44.05, 22
2.038, 44.45, 32

Structural model:
Cell lengths 8.3631, 8.3631, 7.8179 Å; angles 114.39, 114.39, 28.21 degrees
Element x y z (fractional)
Er  0.0000  0.0000  0.0000
Er  0.2568  0.2568  0.2779
Er  0.7432  0.7432  0.7221
Bi  0.1039  0.1039  0.4395
Bi  0.8961  0.8961  0.5605
Te  0.3643  0.3643  0.0271
Te  0.6357  0.6357  0.9729

[5]
Theoretical powder diffractogram of Be10Nb2Ni for Cu Kα X-rays, from a cell relaxed with PBE.
Kinematic intensities with the Lorentz-polarization factor, no thermal factor.

Peak list (10 most intense, 10 to 80 degrees two-theta, sorted by position)
d/Å, 2theta, I (rel.)
4.218, 21.06, 42
4.081, 21.78, 85
3.613, 24.64, 100
3.328, 26.79, 45
3.193, 27.94, 84
2.779, 32.22, 51
2.076, 43.59, 45
2.017, 44.94, 42
1.965, 46.21, 64
1.953, 46.49, 46

Structural model:
Cell lengths 4.7380, 8.8803, 6.9799 Å; angles 90.00, 117.09, 90.00 degrees
Element x y z (fractional)
Be  0.0211  0.0109  0.3401
Be  0.0211  0.4891  0.8401
Be  0.0948  0.1921  0.8427
Be  0.0948  0.3079  0.3427
Be  0.1635  0.6903  0.0238
Be  0.1635  0.8097  0.5238
Be  0.3238  0.1447  0.2514
Be  0.3238  0.3553  0.7514
Be  0.4007  0.6120  0.4239
Be  0.4007  0.8880  0.9239
Be  0.5993  0.1120  0.0761
Be  0.5993  0.3880  0.5761
Be  0.6762  0.6447  0.2486
Be  0.6762  0.8553  0.7486
Be  0.8365  0.1903  0.4762
Be  0.8365  0.3097  0.9762
Be  0.9052  0.6921  0.6573
Be  0.9052  0.8079  0.1573
Be  0.9789  0.5109  0.1599
Be  0.9789  0.9891  0.6599
Nb  0.4755  0.1139  0.6570
Nb  0.4755  0.3861  0.1570
Nb  0.5245  0.6139  0.8430
Nb  0.5245  0.8861  0.3430
Ni  0.0000  0.0000  0.0000
Ni  0.0000  0.5000  0.5000

[6]
Theoretical powder diffractogram of NbTeHPdICl for Cu Kα X-rays, from a cell relaxed with PBE.
Kinematic intensities with the Lorentz-polarization factor, no thermal factor.

Peak list (10 most intense, 10 to 80 degrees two-theta, sorted by position)
d/Å, 2theta, I (rel.)
7.434, 11.90, 100
5.477, 16.18, 29
3.663, 24.30, 31
2.940, 30.41, 36
2.681, 33.42, 23
2.641, 33.94, 18
2.615, 34.29, 33
2.428, 37.02, 34
2.355, 38.22, 18
2.135, 42.32, 23

Structural model:
Cell lengths 3.5719, 6.0438, 8.0386 Å; angles 103.35, 102.77, 107.13 degrees
Element x y z (fractional)
Nb  0.0000  0.0000  0.0000
Te  0.4702  0.7670  0.1736
H  0.1122  0.2984  0.9263
Pd  0.7149  0.4399  0.9875
I  0.2659  0.8222  0.7074
Cl  0.2887  0.2728  0.3082

[7]
Theoretical powder diffractogram of Ho2ErCuSe5 for Cu Kα X-rays, from a cell relaxed with PBE.
Kinematic intensities with the Lorentz-polarization factor, no thermal factor.

Peak list (10 most intense, 10 to 80 degrees two-theta, sorted by position)
d/Å, 2theta, I (rel.)
3.623, 24.57, 25
3.247, 27.47, 15
2.814, 31.80, 41
2.775, 32.25, 100
2.395, 37.56, 71
2.186, 41.31, 16
2.041, 44.38, 12
1.983, 45.74, 34
1.844, 49.43, 13
1.621, 56.79, 16

Structural model:
Cell lengths 8.9097, 8.9097, 11.9572 Å; angles 90.00, 90.00, 154.28 degrees
Element x y z (fractional)
Ho  0.1077  0.8923  0.5000
Ho  0.1219  0.8781  0.1217
Ho  0.8781  0.1219  0.6217
Ho  0.8923  0.1077  0.0000
Er  0.1926  0.8074  0.8259
Er  0.8074  0.1926  0.3259
Cu  0.4358  0.5642  0.2727
Cu  0.5642  0.4358  0.7727
Se  0.0413  0.9587  0.8827
Se  0.2879  0.7121  0.4923
Se  0.3146  0.6854  0.1577
Se  0.3572  0.6428  0.8163
Se  0.4981  0.5019  0.5968
Se  0.5019  0.4981  0.0968
Se  0.6428  0.3572  0.3163
Se  0.6854  0.3146  0.6577
Se  0.7121  0.2879  0.9923
Se  0.9587  0.0413  0.3827

[8]
Theoretical powder diffractogram of Pa4PtSe5 for Cu Kα X-rays, from a cell relaxed with PBE.
Kinematic intensities with the Lorentz-polarization factor, no thermal factor.

Peak list (10 most intense, 10 to 80 degrees two-theta, sorted by position)
d/Å, 2theta, I (rel.)
8.645, 10.23, 21
7.937, 11.15, 41
3.631, 24.52, 13
2.887, 30.97, 100
2.060, 43.96, 26
2.051, 44.15, 12
2.036, 44.51, 14
2.022, 44.83, 24
1.663, 55.25, 13
1.445, 64.49, 8

Structural model:
Cell lengths 9.1699, 9.1699, 8.2085 Å; angles 104.40, 104.40, 25.65 degrees
Element x y z (fractional)
Pa  0.9997  0.9997  0.2411
Pa  0.0003  0.0003  0.7589
Pa  0.3339  0.3339  0.9017
Pa  0.6661  0.6661  0.0983
Pt  0.5000  0.5000  0.0000
Se  0.1654  0.1654  0.3385
Se  0.1683  0.1683  0.8442
Se  0.5000  0.5000  0.5000
Se  0.8317  0.8317  0.1558
Se  0.8346  0.8346  0.6615

[9]
Theoretical powder diffractogram of Tl2Pb3F8 for Cu Kα X-rays, from a cell relaxed with PBE.
Kinematic intensities with the Lorentz-polarization factor, no thermal factor.

Peak list (10 most intense, 10 to 80 degrees two-theta, sorted by position)
d/Å, 2theta, I (rel.)
3.695, 24.09, 36
3.497, 25.47, 100
3.200, 27.88, 59
3.168, 28.17, 78
3.136, 28.46, 30
3.074, 29.04, 89
2.569, 34.93, 43
2.177, 41.47, 57
1.861, 48.95, 31
1.843, 49.47, 32

Structural model:
Cell lengths 7.7783, 4.0267, 10.1043 Å; angles 90.00, 108.18, 90.00 degrees
Element x y z (fractional)
Tl  0.2440  0.0000  0.1941
Tl  0.7560  0.0000  0.8059
Pb  0.0000  0.0000  0.5000
Pb  0.2681  0.5000  0.8376
Pb  0.7319  0.5000  0.1624
F  0.0419  0.5000  0.3616
F  0.1340  0.0000  0.9171
F  0.2953  0.0000  0.6855
F  0.3966  0.5000  0.0995
F  0.6034  0.5000  0.9005
F  0.7047  0.0000  0.3145
F  0.8660  0.0000  0.0829
F  0.9581  0.5000  0.6384

[10]
Theoretical powder diffractogram of GdThMnTc for Cu Kα X-rays, from a cell relaxed with PBE.
Kinematic intensities with the Lorentz-polarization factor, no thermal factor.

Peak list (10 most intense, 10 to 80 degrees two-theta, sorted by position)
d/Å, 2theta, I (rel.)
4.080, 21.78, 5
3.533, 25.21, 21
2.498, 35.95, 100
2.131, 42.43, 3
2.040, 44.41, 7
1.767, 51.75, 18
1.621, 56.79, 1
1.580, 58.41, 9
1.442, 64.62, 36
1.249, 76.22, 11

Structural model:
Cell lengths 4.9966, 4.9966, 4.9966 Å; angles 60.00, 60.00, 60.00 degrees
Element x y z (fractional)
Gd  0.0000  0.0000  0.0000
Th  0.5000  0.5000  0.5000
Mn  0.7500  0.7500  0.7500
Tc  0.2500  0.2500  0.2500

[11]
Theoretical powder diffractogram of CsCu2H for Cu Kα X-rays, from a cell relaxed with PBE.
Kinematic intensities with the Lorentz-polarization factor, no thermal factor.

Peak list (10 most intense, 10 to 80 degrees two-theta, sorted by position)
d/Å, 2theta, I (rel.)
3.096, 28.84, 47
2.826, 31.67, 73
2.448, 36.71, 100
1.849, 49.27, 26
1.679, 54.65, 15
1.632, 56.38, 10
1.548, 59.73, 41
1.413, 66.12, 13
1.264, 75.15, 11
1.224, 78.11, 16

Structural model:
Cell lengths 6.3179, 6.3179, 6.3179 Å; angles 126.83, 126.83, 78.52 degrees
Element x y z (fractional)
Cs  0.3750  0.6250  0.7500
Cs  0.6250  0.3750  0.2500
Cu  0.0000  0.0000  0.0000
Cu  0.0000  0.0000  0.5000
Cu  0.0000  0.5000  0.0000
Cu  0.5000  0.0000  0.5000
H  0.1250  0.8750  0.2500
H  0.8750  0.1250  0.7500

[12]
Theoretical powder diffractogram of CsIn2SnCl5 for Cu Kα X-rays, from a cell relaxed with PBE.
Kinematic intensities with the Lorentz-polarization factor, no thermal factor.

Peak list (10 most intense, 10 to 80 degrees two-theta, sorted by position)
d/Å, 2theta, I (rel.)
4.045, 21.97, 38
3.845, 23.13, 100
3.165, 28.20, 76
3.090, 28.90, 45
2.969, 30.10, 20
2.764, 32.40, 17
2.493, 36.03, 19
2.455, 36.60, 31
2.295, 39.26, 38
1.973, 46.01, 26

Structural model:
Cell lengths 10.1808, 10.1808, 10.1808 Å; angles 129.17, 129.17, 74.74 degrees
Element x y z (fractional)
Cs  0.2500  0.2500  0.0000
Cs  0.7500  0.7500  0.0000
In  0.1781  0.6781  0.8562
In  0.3219  0.1781  0.5000
In  0.6781  0.8219  0.5000
In  0.8219  0.3219  0.1438
Sn  0.2500  0.7500  0.5000
Sn  0.7500  0.2500  0.5000
Cl  0.0000  0.0000  0.0000
Cl  0.0257  0.1842  0.5000
Cl  0.1842  0.6842  0.1585
Cl  0.3158  0.4743  0.5000
Cl  0.4743  0.9743  0.1585
Cl  0.5000  0.5000  0.0000
Cl  0.5257  0.0257  0.8415
Cl  0.6842  0.5257  0.5000
Cl  0.8158  0.3158  0.8415
Cl  0.9743  0.8158  0.5000

[13]
Theoretical powder diffractogram of Sm3Ni4Ge2 for Cu Kα X-rays, from a cell relaxed with PBE.
Kinematic intensities with the Lorentz-polarization factor, no thermal factor.

Peak list (10 most intense, 10 to 80 degrees two-theta, sorted by position)
d/Å, 2theta, I (rel.)
3.547, 25.10, 28
2.663, 33.65, 48
2.649, 33.83, 50
2.632, 34.06, 100
2.626, 34.15, 96
2.074, 43.64, 83
2.035, 44.51, 40
1.958, 46.37, 35
1.427, 65.40, 24
1.420, 65.74, 24

Structural model:
Cell lengths 5.7183, 5.7183, 8.2047 Å; angles 103.41, 103.41, 41.70 degrees
Element x y z (fractional)
Sm  0.0000  0.0000  0.0000
Sm  0.3389  0.3389  0.3286
Sm  0.6611  0.6611  0.6714
Ni  0.0555  0.0555  0.3897
Ni  0.2774  0.2774  0.9396
Ni  0.7226  0.7226  0.0604
Ni  0.9445  0.9445  0.6103
Ge  0.3850  0.3850  0.7172
Ge  0.6150  0.6150  0.2828